This entry pairs a crystal structure of Sn2N2O with its computed X-ray powder pattern. Radiation: Cu Ka. Structure: a crystal structure in the Materials Project, relaxed with GGA-PBE.
Intensities are scaled so that the largest is 1000.

Largest 10 diffraction maxima, most intense first, 2θ = 10–80°:
| d_spacing | 2theta | I_rel |
| --- | --- | --- |
| 2.956 | 30.24 | 1000 |
| 2.941 | 30.39 | 331 |
| 2.558 | 35.08 | 298 |
| 1.811 | 50.38 | 249 |
| 1.544 | 59.90 | 165 |
| 1.806 | 50.55 | 165 |
| 2.553 | 35.15 | 147 |
| 1.541 | 60.02 | 136 |
| 4.178 | 21.27 | 121 |
| 1.802 | 50.66 | 85 |

Structure:
abc: 8.8232 8.8596 8.8685
angles: 109.56 109.48 109.21
Sites, in units of the cell vectors:
Sn 0.0000 0.0000 0.0000
Sn 0.9998 0.4926 0.4832
Sn 0.0363 0.2803 0.7418
Sn 0.2130 0.2396 0.4577
Sn 0.2452 0.0252 0.7665
Sn 0.2540 0.5220 0.2762
Sn 0.2956 0.7443 0.0241
Sn 0.4694 0.2143 0.2524
Sn 0.4924 0.4920 0.9766
Sn 0.5141 0.9986 0.4888
Sn 0.5312 0.7775 0.7388
Sn 0.7335 0.2533 0.9582
Sn 0.7379 0.4497 0.7027
Sn 0.7496 0.9696 0.1998
Sn 0.7794 0.7338 0.5194
Sn 0.9644 0.7085 0.2383
N 0.0387 0.7715 0.5287
N 0.2360 0.2587 0.2143
N 0.2637 0.2497 0.7208
N 0.2656 0.4942 0.0311
N 0.2751 0.5341 0.5363
N 0.4569 0.2205 0.5002
N 0.5009 0.7238 0.9457
N 0.5368 0.9985 0.2529
N 0.5465 0.7669 0.4932
N 0.7257 0.4952 0.9502
N 0.7288 0.4578 0.4536
N 0.7664 0.0372 0.9842
N 0.7812 0.2267 0.7255
N 0.9551 0.2254 0.4547
N 0.9698 0.4587 0.2181
N 0.9958 0.9460 0.2201
O 0.0444 0.5530 0.7712
O 0.2203 0.9403 0.9683
O 0.2338 0.7763 0.2624
O 0.4527 0.9914 0.7166
O 0.5024 0.2521 0.0333
O 0.7150 0.7144 0.2581
O 0.7786 0.7246 0.7709
O 0.9901 0.0289 0.7652

---

This entry pairs a crystal structure of Sn2N2O with its computed X-ray powder pattern. Radiation: Cu Ka. Structure: a crystal structure in the Materials Project, relaxed with GGA-PBE.
Intensities are scaled so that the largest is 1000.

Largest 10 diffraction maxima, most intense first, 2θ = 10–80°:
| d_spacing | 2theta | I_rel |
| --- | --- | --- |
| 2.953 | 30.26 | 1000 |
| 1.809 | 50.44 | 314 |
| 2.554 | 35.13 | 223 |
| 2.564 | 35.00 | 112 |
| 4.177 | 21.27 | 109 |
| 1.542 | 60.00 | 105 |
| 1.545 | 59.87 | 99 |
| 1.540 | 60.08 | 99 |
| 1.804 | 50.59 | 61 |
| 1.476 | 62.98 | 47 |

Structure:
abc: 8.8518 8.8537 8.8585
angles: 109.55 109.51 109.21
Sites, in units of the cell vectors:
Sn 0.0000 0.0000 0.0000
Sn 0.0065 0.4890 0.5018
Sn 0.0179 0.2744 0.7408
Sn 0.2131 0.7428 0.9511
Sn 0.2462 0.4537 0.2234
Sn 0.2563 0.9597 0.7196
Sn 0.2715 0.2274 0.5187
Sn 0.4546 0.2082 0.2455
Sn 0.4980 0.9935 0.5062
Sn 0.5064 0.4930 0.0043
Sn 0.5294 0.7827 0.7506
Sn 0.7013 0.7378 0.4542
Sn 0.7428 0.5108 0.7744
Sn 0.7584 0.0228 0.2839
Sn 0.7867 0.2435 0.0235
Sn 0.9591 0.7040 0.2464
N 0.0022 0.2310 0.9533
N 0.0303 0.4928 0.2716
N 0.0393 0.2559 0.4991
N 0.2134 0.9464 0.4575
N 0.2184 0.2211 0.2678
N 0.2259 0.9943 0.9550
N 0.2695 0.7176 0.7269
N 0.4529 0.7172 0.4631
N 0.4985 0.4484 0.2253
N 0.5322 0.2585 0.5300
N 0.5372 0.0428 0.7753
N 0.7289 0.4520 0.9859
N 0.7336 0.7614 0.2265
N 0.7607 0.0280 0.5353
N 0.7652 0.9881 0.0343
N 0.9566 0.4926 0.7308
O 0.0073 0.7703 0.0456
O 0.2734 0.2304 0.7784
O 0.2808 0.5473 0.0009
O 0.4513 0.9395 0.2158
O 0.4915 0.5327 0.7641
O 0.7177 0.2553 0.2698
O 0.7674 0.7467 0.7259
O 0.9464 0.7194 0.5115

---

This entry pairs a crystal structure of Sn2N2O with its computed X-ray powder pattern. Radiation: Cu Ka. Structure: a crystal structure in the Materials Project, relaxed with GGA-PBE.
Intensities are scaled so that the largest is 1000.

Largest 10 diffraction maxima, most intense first, 2θ = 10–80°:
| d_spacing | 2theta | I_rel |
| --- | --- | --- |
| 2.960 | 30.19 | 1000 |
| 2.939 | 30.41 | 994 |
| 2.554 | 35.13 | 668 |
| 1.809 | 50.46 | 254 |
| 1.804 | 50.59 | 242 |
| 1.536 | 60.26 | 207 |
| 1.545 | 59.85 | 155 |
| 1.540 | 60.09 | 146 |
| 1.796 | 50.83 | 126 |
| 1.815 | 50.26 | 125 |

Structure:
abc: 8.8171 8.8198 8.8658
angles: 109.44 109.42 109.15
Sites, in units of the cell vectors:
Sn 0.0000 0.0000 0.0000
Sn 0.0055 0.1995 0.7347
Sn 0.0196 0.7196 0.2408
Sn 0.0459 0.4850 0.5585
Sn 0.2414 0.4687 0.2915
Sn 0.2648 0.2428 0.5224
Sn 0.2750 0.7495 0.0412
Sn 0.3033 0.0321 0.7832
Sn 0.4824 0.9944 0.4999
Sn 0.5126 0.7740 0.8107
Sn 0.5213 0.2770 0.3173
Sn 0.5645 0.5020 0.0628
Sn 0.7320 0.9596 0.2857
Sn 0.7569 0.2422 0.0213
Sn 0.7838 0.7511 0.5317
Sn 0.8001 0.5274 0.7799
N 0.0382 0.7853 0.0252
N 0.0482 0.9843 0.7731
N 0.2250 0.9767 0.4965
N 0.2317 0.2130 0.2532
N 0.2643 0.6965 0.2619
N 0.3061 0.5233 0.5698
N 0.5002 0.7053 0.0198
N 0.5023 0.0162 0.2588
N 0.5299 0.2489 0.0710
N 0.5338 0.0013 0.7651
N 0.5398 0.2894 0.5767
N 0.7249 0.9729 0.5400
N 0.7705 0.4731 0.9865
N 0.8133 0.7489 0.3011
N 0.8149 0.5180 0.5345
N 0.9927 0.2058 0.4869
O 0.0422 0.4686 0.8086
O 0.2474 0.7773 0.7970
O 0.3065 0.2999 0.8057
O 0.5055 0.5311 0.3105
O 0.7233 0.7446 0.7614
O 0.7909 0.0231 0.0772
O 0.9831 0.4578 0.2929
O 0.9920 0.2521 0.9844